CaPmNiO4: simulated powder diffractogram (Cu Kα (weighted mean of Kα1 and Kα2)), based on a DFT-relaxed cell (PBE+U, Alexandria).
No peak broadening, texture or thermal motion is included.

Principal peaks in the range 2θ = 10–90°, sorted by position:
two_theta	intensity	hkl
14.77	49.3	0 0 2
24.70	39.3	1 0 1
32.60	100.0	1 0 3
33.54	72.0	1 1 0
36.82	17.2	1 1 2
44.74	28.2	1 0 5
45.46	24.7	1 1 4
48.16	38.7	2 0 0
57.59	22.7	1 1 6
59.37	36.5	2 1 3

Crystal structure
```
data_CaPmNiO4
_cell_length_a 3.779
_cell_length_b 3.779
_cell_length_c 11.999
_cell_angle_alpha 90.00
_cell_angle_beta 90.00
_cell_angle_gamma 90.00
_symmetry_space_group_name_H-M 'I 4 m m'
_symmetry_Int_Tables_number 107
_symmetry_space_group_name_Hall 'I 4 -2'
loop_
_atom_site_label
_atom_site_type_symbol
_atom_site_fract_x
_atom_site_fract_y
_atom_site_fract_z
_atom_site_occupancy
Ca1 Ca 0.000 0.000 0.000 1
Pm1 Pm 0.000 0.000 0.720 1
Ni1 Ni 0.000 0.000 0.364 1
O1 O 0.000 0.000 0.191 1
O2 O 0.000 0.000 0.531 1
O3 O 0.000 0.500 0.355 1
```